Structure and theoretical powder diffraction line list of Pr5C2Br8 (a cell relaxed with PBE; Cu Kα).
Neutral-atom scattering factors, no anomalous dispersion.

Most intense lines, 10° ≤ 2θ ≤ 90°, by angle:
7.766 Å, 2θ 11.39, I = 23
3.118 Å, 2θ 28.63, I = 100
2.982 Å, 2θ 29.97, I = 67
2.915 Å, 2θ 30.67, I = 63
2.210 Å, 2θ 40.83, I = 25
2.148 Å, 2θ 42.06, I = 24
2.112 Å, 2θ 42.83, I = 25
2.105 Å, 2θ 42.97, I = 46

Atomic structure:
```
Pr5C2Br8
1.0
9.3041 0.0000 0.0000
-1.2054 12.4337 0.0000
-0.2097 -3.0474 16.8964
Pr C Br
20 8 32
Direct
0.0478 0.2380 0.2546
0.0820 0.9332 0.1192
0.1174 0.1466 0.4633
0.1615 0.0145 0.7006
0.1820 0.8728 0.3243
0.2321 0.4922 0.2006
0.3129 0.2308 0.0614
0.3305 0.4325 0.4079
0.3656 0.1294 0.2747
0.4230 0.6186 0.7726
0.5770 0.3814 0.2274
0.6344 0.8706 0.7253
0.6695 0.5675 0.5921
0.6871 0.7692 0.9386
0.7679 0.5078 0.7994
0.8180 0.1272 0.6757
0.8385 0.9855 0.2994
0.8826 0.8534 0.5367
0.9180 0.0668 0.8808
0.9522 0.7620 0.7454
0.0977 0.0226 0.2496
0.1049 0.0713 0.3300
0.3097 0.2947 0.1968
0.3151 0.3433 0.2776
0.6849 0.6567 0.7224
0.6903 0.7053 0.8032
0.8951 0.9287 0.6700
0.9023 0.9774 0.7504
0.0102 0.8585 0.9293
0.0184 0.3528 0.4295
0.0808 0.5579 0.7808
0.1183 0.2242 0.6518
0.1639 0.7305 0.1647
0.1987 0.9349 0.5133
0.2030 0.4272 0.0268
0.2320 0.1274 0.8682
0.2437 0.6391 0.3659
0.2905 0.8150 0.7293
0.3551 0.5065 0.5989
0.3800 0.7075 0.9416
0.3898 0.0113 0.0986
0.4263 0.2237 0.4548
0.4710 0.4092 0.8105
0.4954 0.9291 0.3197
0.5046 0.0709 0.6803
0.5290 0.5908 0.1895
0.5737 0.7763 0.5452
0.6102 0.9887 0.9014
0.6200 0.2925 0.0584
0.6449 0.4935 0.4011
0.7095 0.1850 0.2707
0.7563 0.3609 0.6341
0.7680 0.8726 0.1318
0.7970 0.5728 0.9732
0.8013 0.0651 0.4867
0.8361 0.2695 0.8353
0.8817 0.7758 0.3482
0.9192 0.4421 0.2192
0.9816 0.6472 0.5705
0.9898 0.1415 0.0707
```

Structure and theoretical powder diffraction line list of DyTe3O8 (a cell relaxed with PBE; Cu Kα).
Neutral-atom scattering factors, no anomalous dispersion.

Most intense lines, 10° ≤ 2θ ≤ 90°, by angle:
3.355 Å, 2θ 26.57, I = 21
3.204 Å, 2θ 27.84, I = 100
3.146 Å, 2θ 28.37, I = 97
2.813 Å, 2θ 31.81, I = 39
2.699 Å, 2θ 33.19, I = 20
2.633 Å, 2θ 34.05, I = 28
1.989 Å, 2θ 45.60, I = 22
1.617 Å, 2θ 56.94, I = 19

Atomic structure:
```
DyTe3O8
1.0
6.2741 -2.8165 0.0000
6.2741 2.8165 0.0000
-4.6778 0.0000 9.4398
Dy Te O
2 6 16
Direct
0.0622 0.9378 0.7500
0.9378 0.0622 0.2500
0.1929 0.3677 0.1434
0.3677 0.1929 0.6434
0.5000 0.5000 0.0000
0.5000 0.5000 0.5000
0.6323 0.8071 0.3566
0.8071 0.6323 0.8566
0.0696 0.2851 0.9148
0.1361 0.6399 0.8665
0.1786 0.6536 0.3303
0.2844 0.5045 0.5952
0.2851 0.0696 0.4148
0.3464 0.8214 0.1697
0.3601 0.8639 0.6335
0.4955 0.7156 0.9048
0.5045 0.2844 0.0952
0.6399 0.1361 0.3665
0.6536 0.1786 0.8303
0.7149 0.9304 0.5852
0.7156 0.4955 0.4048
0.8214 0.3464 0.6697
0.8639 0.3601 0.1335
0.9304 0.7149 0.0852
```